Starting from the PBE geometry in Alexandria, the powder diffractogram of Cs3NaBr6 was computed for Cu Ka.
Neutral-atom scattering factors, no anomalous dispersion.

Principal peaks in the range 10 to 90 degrees two-theta, by intensity:
2θ/deg, I (rel.)
28.57, 100
24.68, 84
40.84, 70
20.10, 41
48.30, 33
66.97, 27
50.60, 24
74.37, 19

Structure:
Lattice parameters (Å, degrees): 8.837 8.837 8.837 60.00 60.00 60.00
Fractional coordinates of all 10 atoms:
Cs: 0.000 0.000 0.000
Cs: 0.250 0.250 0.250
Cs: 0.750 0.750 0.750
Na: 0.500 0.500 0.500
Br: 0.272 0.272 0.728
Br: 0.272 0.728 0.272
Br: 0.272 0.728 0.728
Br: 0.728 0.272 0.272
Br: 0.728 0.272 0.728
Br: 0.728 0.728 0.272

---

Starting from the PBE geometry in Alexandria, the powder diffractogram of Sm3Ni7B2 was computed for Cu Ka.
Neutral-atom scattering factors, no anomalous dispersion.

Principal peaks in the range 10 to 90 degrees two-theta, by intensity:
2θ/deg, I (rel.)
42.69, 100
39.69, 47
31.76, 44
34.20, 34
67.09, 29
62.70, 24
36.48, 22
72.03, 19

Structure:
Lattice parameters (Å, degrees): 5.244 5.244 7.185 90.00 90.00 120.00
Fractional coordinates of all 12 atoms:
Sm: 0.000 0.000 0.000
Sm: 0.000 0.000 0.500
Sm: 0.333 0.667 0.000
Ni: 0.505 0.009 0.310
Ni: 0.505 0.009 0.690
Ni: 0.505 0.495 0.310
Ni: 0.505 0.495 0.690
Ni: 0.667 0.333 0.000
Ni: 0.991 0.495 0.310
Ni: 0.991 0.495 0.690
B: 0.333 0.667 0.500
B: 0.667 0.333 0.500

---

Starting from the PBE geometry in Alexandria, the powder diffractogram of Sm5Tm2Th4 was computed for Cu Ka.
Neutral-atom scattering factors, no anomalous dispersion.

Principal peaks in the range 10 to 90 degrees two-theta, by intensity:
2θ/deg, I (rel.)
31.45, 100
31.28, 60
32.70, 57
33.77, 54
31.15, 50
31.56, 47
32.54, 47
32.01, 45

Structure:
Lattice parameters (Å, degrees): 6.463 6.587 10.098 104.07 96.25 114.76
Fractional coordinates of all 11 atoms:
Sm: 0.000 0.000 0.000
Sm: 0.085 0.320 0.387
Sm: 0.468 0.763 0.735
Sm: 0.532 0.237 0.265
Sm: 0.915 0.680 0.613
Tm: 0.421 0.183 0.599
Tm: 0.579 0.817 0.401
Th: 0.029 0.756 0.271
Th: 0.351 0.652 0.044
Th: 0.649 0.348 0.956
Th: 0.971 0.244 0.729

---

Starting from the PBE geometry in Alexandria, the powder diffractogram of Cs2Tl9Pd3 was computed for Cu Ka.
Neutral-atom scattering factors, no anomalous dispersion.

Principal peaks in the range 10 to 90 degrees two-theta, by intensity:
2θ/deg, I (rel.)
28.08, 100
28.25, 95
34.22, 89
10.85, 84
40.45, 69
31.69, 62
29.83, 50
35.44, 49

Structure:
Lattice parameters (Å, degrees): 7.802 7.802 16.943 103.39 103.39 61.93
Fractional coordinates of all 28 atoms:
Cs: 0.198 0.203 0.250
Cs: 0.203 0.198 0.750
Cs: 0.797 0.802 0.250
Cs: 0.802 0.797 0.750
Tl: 0.066 0.084 0.435
Tl: 0.084 0.066 0.935
Tl: 0.201 0.387 0.566
Tl: 0.269 0.549 0.930
Tl: 0.295 0.635 0.149
Tl: 0.320 0.680 0.750
Tl: 0.365 0.705 0.351
Tl: 0.387 0.201 0.066
Tl: 0.451 0.731 0.570
Tl: 0.549 0.269 0.430
Tl: 0.613 0.799 0.934
Tl: 0.635 0.295 0.649
Tl: 0.680 0.320 0.250
Tl: 0.705 0.365 0.851
Tl: 0.731 0.451 0.070
Tl: 0.799 0.613 0.434
Tl: 0.916 0.934 0.065
Tl: 0.934 0.916 0.565
Pd: 0.000 0.500 0.000
Pd: 0.175 0.620 0.451
Pd: 0.380 0.825 0.049
Pd: 0.500 0.000 0.500
Pd: 0.620 0.175 0.951
Pd: 0.825 0.380 0.549